Computed XRD peak list
Compound: Ac5Nd4Tl4
Radiation: Cu Ka
Structure: a GGA-PBE-relaxed structure
Kinematic intensities with the Lorentz-polarization factor, no thermal factor.

Structural model:
Lattice parameters (Å, degrees): 13.6258 13.6258 5.1377 90.00 90.00 90.00
Space group I4/m (No. 87)
One atom of each set of equivalent atoms:
Ac 0.0000 0.0000 0.0000
Ac 0.1219 0.2009 0.5000
Nd 0.0899 0.5971 0.5000
Tl 0.0748 0.7577 0.0000

Peak list (10 most intense, 5 to 70 degrees two-theta, sorted by position)
2θ/deg	intensity
26.2	22
29.3	100
32.2	24
33.5	18
34.9	22
46.2	13
49.2	13
57.4	10
59.2	12
60.8	12



Computed XRD peak list
Compound: Tb3Sm3ErSe8
Radiation: Cu Ka
Structure: a GGA-PBE-relaxed structure
Kinematic intensities with the Lorentz-polarization factor, no thermal factor.

Structural model:
Lattice parameters (Å, degrees): 8.2194 8.2194 20.2335 90.00 90.00 120.00
Space group R-3m (No. 166, hexagonal axes)
One atom of each set of equivalent atoms:
Tb 0.0000 0.5000 0.0000
Sm 0.0000 0.5000 0.5000
Er 0.0000 0.0000 0.0000
Se 0.0000 0.0000 0.2522
Se 0.0015 0.5007 0.2519

Peak list (10 most intense, 5 to 70 degrees two-theta, sorted by position)
2θ/deg	intensity
13.2	10
25.4	6
26.5	10
30.7	100
43.9	37
44.1	37
52.1	5
54.4	7
54.7	20
64.0	12



Computed XRD peak list
Compound: Na2Zn6Au9
Radiation: Cu Ka
Structure: a GGA-PBE-relaxed structure
Kinematic intensities with the Lorentz-polarization factor, no thermal factor.

Structural model:
Lattice parameters (Å, degrees): 5.7915 5.7915 12.3917 90.00 90.00 120.00
Space group P6/mmm (No. 191)
One atom of each set of equivalent atoms:
Na 0.0000 0.0000 0.1754
Zn 0.3333 0.6667 0.1659
Zn 0.3333 0.6667 0.5000
Au 0.0000 0.5000 0.0000
Au 0.0000 0.5000 0.3320

Peak list (10 most intense, 5 to 70 degrees two-theta, sorted by position)
2θ/deg	intensity
17.7	66
21.5	41
28.0	14
35.8	54
37.9	40
42.2	100
43.8	20
57.8	28
64.3	19
68.7	11



Computed XRD peak list
Compound: NbRu3Se
Radiation: Cu Ka
Structure: a GGA-PBE-relaxed structure
Kinematic intensities with the Lorentz-polarization factor, no thermal factor.

Structural model:
Lattice parameters (Å, degrees): 4.4791 4.4791 4.4791 90.00 90.00 90.00
Space group Pm-3m (No. 221)
One atom of each set of equivalent atoms:
Nb 0.0000 0.0000 0.0000
Ru 0.0000 0.5000 0.5000
Se 0.5000 0.5000 0.5000

Peak list (10 most intense, 5 to 70 degrees two-theta, sorted by position)
2θ/deg	intensity
19.8	21
28.2	12
34.7	92
40.3	100
45.3	9
49.9	5
58.3	66
62.2	4
65.9	2
69.6	34



Computed XRD peak list
Compound: Tl3HgH2
Radiation: Cu Ka
Structure: a GGA-PBE-relaxed structure
Kinematic intensities with the Lorentz-polarization factor, no thermal factor.

Structural model:
Lattice parameters (Å, degrees): 6.8489 7.5579 11.2376 90.00 95.15 90.00
Space group C2/c (No. 15)
One atom of each set of equivalent atoms:
Tl 0.0000 0.1004 0.2500
Tl 0.2393 0.4926 0.4886
Hg 0.0000 0.3444 0.7500
H 0.1379 0.2681 0.3864

Peak list (10 most intense, 5 to 70 degrees two-theta, sorted by position)
2θ/deg	intensity
23.5	25
24.9	43
28.5	36
29.4	65
32.0	100
33.8	21
35.5	21
40.1	24
51.0	22
55.6	22



Computed XRD peak list
Compound: Ba2Sn2H
Radiation: Cu Ka
Structure: a GGA-PBE-relaxed structure
Kinematic intensities with the Lorentz-polarization factor, no thermal factor.

Structural model:
Lattice parameters (Å, degrees): 13.7249 4.7285 10.2831 90.00 106.35 90.00
Space group C2/m (No. 12)
One atom of each set of equivalent atoms:
Ba 0.0793 0.0000 0.1692
Ba 0.1854 0.0000 0.6266
Sn 0.0217 0.5000 0.3777
Sn 0.1796 0.5000 0.9502
H 0.2249 0.0000 0.3823

Peak list (10 most intense, 5 to 70 degrees two-theta, sorted by position)
2θ/deg	intensity
26.7	18
27.3	100
28.3	80
29.9	19
31.0	54
32.3	17
32.6	23
38.1	36
49.8	20
51.1	20



Computed XRD peak list
Compound: Hf5Zr6Sc
Radiation: Cu Ka
Structure: a GGA-PBE-relaxed structure
Kinematic intensities with the Lorentz-polarization factor, no thermal factor.

Structural model:
Lattice parameters (Å, degrees): 4.5218 13.5775 8.9550 90.00 90.08 90.00
Space group C2/m (No. 12)
One atom of each set of equivalent atoms:
Hf 0.0000 0.0000 0.0000
Hf 0.0000 0.3305 0.5000
Hf 0.0000 0.3331 0.0000
Zr 0.0002 0.1670 0.2482
Zr 0.0002 0.5000 0.2478
Sc 0.0000 0.0000 0.5000

Peak list (10 most intense, 5 to 70 degrees two-theta, sorted by position)
2θ/deg	intensity
19.8	6
27.9	5
34.5	100
39.9	33
40.3	16
57.6	11
57.9	17
58.0	6
68.9	26
69.5	13



Computed XRD peak list
Compound: UGa3Tc
Radiation: Cu Ka
Structure: a GGA-PBE-relaxed structure
Kinematic intensities with the Lorentz-polarization factor, no thermal factor.

Structural model:
Lattice parameters (Å, degrees): 3.1717 4.8748 6.3923 90.00 90.00 90.00
Space group Pmmm (No. 47)
One atom of each set of equivalent atoms:
U 0.0000 0.0000 0.0000
Ga 0.0000 0.0000 0.5000
Ga 0.5000 0.5000 0.1985
Tc 0.0000 0.5000 0.5000

Peak list (10 most intense, 5 to 70 degrees two-theta, sorted by position)
2θ/deg	intensity
22.9	67
27.9	39
28.1	31
33.5	61
33.7	72
36.6	86
36.9	70
40.1	100
46.5	34
55.6	77



Computed XRD peak list
Compound: Sb2PIrSe
Radiation: Cu Ka
Structure: a GGA-PBE-relaxed structure
Kinematic intensities with the Lorentz-polarization factor, no thermal factor.

Structural model:
Lattice parameters (Å, degrees): 5.0582 5.0582 4.5435 90.00 90.00 90.00
Space group P4/mmm (No. 123)
One atom of each set of equivalent atoms:
Sb 0.0000 0.5000 0.0000
P 0.0000 0.0000 0.0000
Ir 0.5000 0.5000 0.5000
Se 0.0000 0.0000 0.5000

Peak list (10 most intense, 5 to 70 degrees two-theta, sorted by position)
2θ/deg	intensity
26.4	14
31.8	100
35.5	48
39.7	17
44.8	7
51.1	17
54.3	28
61.5	30
66.5	15
67.1	12



Computed XRD peak list
Compound: PmDyTm4
Radiation: Cu Ka
Structure: a GGA-PBE-relaxed structure
Kinematic intensities with the Lorentz-polarization factor, no thermal factor.

Structural model:
Lattice parameters (Å, degrees): 3.4355 5.5839 9.6678 90.00 90.00 90.00
Space group Pmmm (No. 47)
One atom of each set of equivalent atoms:
Pm 0.0000 0.0000 0.0000
Dy 0.0000 0.5000 0.5000
Tm 0.5000 0.0000 0.3352
Tm 0.5000 0.5000 0.1686

Peak list (10 most intense, 5 to 70 degrees two-theta, sorted by position)
2θ/deg	intensity
25.9	8
32.0	87
32.1	100
41.7	14
45.9	32
53.3	8
57.1	53
63.6	28
63.8	4
67.1	12



Computed XRD peak list
Compound: CuTc2W
Radiation: Cu Ka
Structure: a GGA-PBE-relaxed structure
Kinematic intensities with the Lorentz-polarization factor, no thermal factor.

Structural model:
Lattice parameters (Å, degrees): 2.6415 4.3379 5.1732 90.00 99.83 90.00
Space group P2/m (No. 10)
One atom of each set of equivalent atoms:
Cu 0.0000 0.0000 0.0000
Tc 0.2851 0.5000 0.7597
W 0.5000 0.0000 0.5000

Peak list (10 most intense, 5 to 70 degrees two-theta, sorted by position)
2θ/deg	intensity
17.4	20
27.0	23
34.5	10
41.1	100
41.6	95
41.7	95
45.4	5
58.9	6
59.7	16
60.3	31



Computed XRD peak list
Compound: Ni5H3Rh
Radiation: Cu Ka
Structure: a GGA-PBE-relaxed structure
Kinematic intensities with the Lorentz-polarization factor, no thermal factor.

Structural model:
Lattice parameters (Å, degrees): 7.9498 6.0701 6.3362 90.00 90.00 90.00
Space group Amm2 (No. 38)
One atom of each set of equivalent atoms:
Ni 0.0000 0.0000 0.0000
Ni 0.0000 0.0000 0.4240
Ni 0.1615 0.2096 0.7117
Ni 0.3304 0.0000 0.9980
Ni 0.5000 0.2097 0.7114
H 0.0000 0.0000 0.7155
H 0.1607 0.0000 0.1917
H 0.3319 0.0000 0.7234
H 0.5000 0.0000 0.1775
Rh 0.3294 0.0000 0.4228

Peak list (10 most intense, 5 to 70 degrees two-theta, sorted by position)
2θ/deg	intensity
20.3	6
29.4	4
39.7	17
41.2	92
44.6	84
45.4	100
47.2	16
57.9	6
58.2	12
61.1	11